(1)
For Rb2LiPuCl4O2, DFT lattice parameters and positions (GGA-PBE) gives the simulated XRD peak list in this record (Cu Ka).

Most intense lines, 5° ≤ 2θ ≤ 70°, sorted by position:
13.90°, I = 45.9
14.73°, I = 65.7
15.09°, I = 38.7
19.19°, I = 100.0
23.45°, I = 27.4
25.61°, I = 65.6
27.30°, I = 41.4
27.81°, I = 44.3
31.52°, I = 41.7
33.19°, I = 76.5

Structure:
```
Rb2LiPuCl4O2
1.0
5.988 -3.793 0.000
5.988 3.793 0.000
-1.199 0.000 6.014
Rb Li Pu Cl O
2 1 1 4 2
Direct
0.000 0.000 0.000 Rb
0.711 0.711 0.400 Rb
0.488 0.488 0.739 Li
0.341 0.341 0.181 Pu
0.222 0.701 0.490 Cl
0.505 0.967 0.927 Cl
0.701 0.222 0.490 Cl
0.967 0.505 0.927 Cl
0.223 0.223 0.328 O
0.462 0.462 0.033 O
```


(2)
For Rb2CeI5, DFT lattice parameters and positions (GGA-PBE) gives the simulated XRD peak list in this record (Cu Ka).

Most intense lines, 5° ≤ 2θ ≤ 70°, sorted by position:
23.14°, I = 41.2
25.38°, I = 72.7
26.46°, I = 100.0
26.67°, I = 56.5
28.40°, I = 52.6
28.96°, I = 34.8
29.49°, I = 35.8
32.03°, I = 34.3
35.44°, I = 44.6
35.87°, I = 30.2

Structure:
```
Rb2CeI5
1.0
15.118 0.000 0.000
0.000 10.133 0.000
0.000 0.000 9.448
Rb Ce I
8 4 20
Direct
0.173 0.004 0.054 Rb
0.173 0.496 0.054 Rb
0.327 0.504 0.554 Rb
0.327 0.996 0.554 Rb
0.673 0.004 0.446 Rb
0.673 0.496 0.446 Rb
0.827 0.504 0.946 Rb
0.827 0.996 0.946 Rb
0.004 0.250 0.576 Ce
0.496 0.750 0.076 Ce
0.504 0.250 0.924 Ce
0.996 0.750 0.424 Ce
0.009 0.250 0.920 I
0.075 0.545 0.663 I
0.075 0.955 0.663 I
0.176 0.250 0.377 I
0.201 0.750 0.340 I
0.299 0.250 0.840 I
0.324 0.750 0.877 I
0.425 0.045 0.163 I
0.425 0.455 0.163 I
0.491 0.750 0.420 I
0.509 0.250 0.580 I
0.575 0.545 0.837 I
0.575 0.955 0.837 I
0.676 0.250 0.123 I
0.701 0.750 0.160 I
0.799 0.250 0.660 I
0.824 0.750 0.623 I
0.925 0.045 0.337 I
0.925 0.455 0.337 I
0.991 0.750 0.080 I
```


(3)
For Ti3Nb3Sn2, DFT lattice parameters and positions (GGA-PBE) gives the simulated XRD peak list in this record (Cu Ka).

Most intense lines, 5° ≤ 2θ ≤ 70°, sorted by position:
16.74°, I = 4.3
23.76°, I = 18.7
29.24°, I = 4.4
33.85°, I = 43.1
37.99°, I = 70.2
41.78°, I = 100.0
54.83°, I = 5.1
63.32°, I = 14.8
65.98°, I = 38.2
66.09°, I = 13.1

Structure:
```
Ti3Nb3Sn2
1.0
3.747 2.163 3.053
-3.747 2.163 3.053
0.000 -4.327 3.053
Ti Nb Sn
3 3 2
Direct
0.000 0.744 0.256 Ti
0.256 0.000 0.744 Ti
0.744 0.256 0.000 Ti
0.252 0.500 0.748 Nb
0.500 0.748 0.252 Nb
0.748 0.252 0.500 Nb
0.248 0.248 0.248 Sn
0.752 0.752 0.752 Sn
```


(4)
For Na2MgCuO2, DFT lattice parameters and positions (GGA-PBE) gives the simulated XRD peak list in this record (Cu Ka).

Most intense lines, 5° ≤ 2θ ≤ 70°, sorted by position:
15.70°, I = 100.0
21.73°, I = 93.8
27.71°, I = 51.4
32.98°, I = 79.6
34.26°, I = 92.8
34.98°, I = 90.4
38.94°, I = 94.4
41.27°, I = 76.6
42.50°, I = 66.3
43.85°, I = 58.4

Structure:
```
Na2MgCuO2
1.0
3.130 0.000 0.000
0.142 4.764 0.000
0.211 1.392 5.644
Na Mg Cu O
2 1 1 2
Direct
0.000 0.000 0.000 Na
0.472 0.473 0.164 Na
0.970 0.908 0.515 Mg
0.499 0.409 0.679 Cu
0.483 0.929 0.302 O
0.980 0.596 0.825 O
```


Q: What is the formula in the fourth record?
A: Na2MgCuO2